Structure and computed X-ray powder pattern of YTm3Zn8 (a cell relaxed with PBE; Cu Kα).
Neutral-atom scattering factors, no anomalous dispersion.

Structural model:
```
YTm3Zn8
1.0
5.4923 0.0000 0.0000
-2.7462 4.7565 0.0000
0.0000 0.0000 8.6497
Y Tm Zn
1 3 8
direct
0.0000 0.0000 0.0000
0.0000 0.0000 0.3816
0.6667 0.3333 0.4988
0.6667 0.3333 0.8791
0.1641 0.3283 0.6886
0.1641 0.8359 0.6886
0.3333 0.6667 0.4399
0.3333 0.6667 0.9399
0.5029 0.0058 0.1906
0.5029 0.4971 0.1906
0.6717 0.8359 0.6886
0.9942 0.4971 0.1906
```

Peak list (6 most intense, 15 to 90 degrees two-theta, low angle first)
2θ = 32.6°, rel. 54, hkl 1 1 0
2θ = 36.4°, rel. 81, hkl 1 0 3
2θ = 38.8°, rel. 100, hkl 1 1 2
2θ = 39.3°, rel. 59, hkl 0 2 1
2θ = 60.7°, rel. 34, hkl 2 1 3
2θ = 66.9°, rel. 28, hkl 0 2 5